# ZrBi
Simulated X-ray diffraction stick pattern, Cu Kα, 1.54184 Å. Input: the GGA-PBE geometry in OQMD.

Structural model:
```
data_ZrBi
_chemical_formula_sum 'Zr4 Bi4'
_symmetry_space_group_name_H-M 'C m c m'
_symmetry_Int_Tables_number 63
_symmetry_space_group_name_Hall '-C 2c 2'
_cell_length_a 3.9215
_cell_length_b 11.1244
_cell_length_c 4.7264
_cell_angle_alpha 90.00
_cell_angle_beta 90.00
_cell_angle_gamma 90.00
loop_
_atom_site_label
_atom_site_type_symbol
_atom_site_fract_x
_atom_site_fract_y
_atom_site_fract_z
Zr1 Zr 0.0000 0.0969 0.2500
Bi1 Bi 0.0000 0.3756 0.2500
```

Peak list (8 most intense, 10 to 80 degrees two-theta, most intense first)
- 2θ = 30.70°, I 100.0, (1 1 1)
- 2θ = 38.46°, I 78.5, (1 3 1)
- 2θ = 32.19°, I 43.1, (0 4 0)
- 2θ = 38.08°, I 32.1, (0 0 2)
- 2θ = 24.72°, I 29.4, (0 2 1)
- 2θ = 50.69°, I 24.4, (0 4 2)
- 2θ = 46.31°, I 18.5, (2 0 0)
- 2θ = 71.08°, I 18.1, (2 4 2)

# CdH6C8Br2N4Cl2
Simulated X-ray diffraction stick pattern, Cu Kα, 1.54184 Å. Input: the GGA-PBE geometry in OQMD.

Structural model:
```
data_CdH6C8Br2N4Cl2
_chemical_formula_sum 'Cd2 H12 C16 Br4 N8 Cl4'
_symmetry_space_group_name_H-M 'P 1 21/c 1'
_symmetry_Int_Tables_number 14
_symmetry_space_group_name_Hall '-P 2ybc'
_cell_length_a 3.8150
_cell_length_b 16.5611
_cell_length_c 10.2054
_cell_angle_alpha 90.00
_cell_angle_beta 91.39
_cell_angle_gamma 90.00
loop_
_atom_site_label
_atom_site_type_symbol
_atom_site_fract_x
_atom_site_fract_y
_atom_site_fract_z
Cd1 Cd 0.0000 0.0000 0.0000
H1 H 0.1975 0.1913 0.9483
H2 H 0.2212 0.5188 0.8075
H3 H 0.2484 0.2102 0.2582
C1 C 0.0969 0.6359 0.8944
C2 C 0.1178 0.1750 0.8484
C3 C 0.1177 0.5796 0.7929
C4 C 0.1409 0.2292 0.7445
Br1 Br 0.2608 0.6073 0.0659
N1 N 0.0081 0.6001 0.6718
N2 N 0.0342 0.2093 0.6224
Cl1 Cl 0.4938 0.5795 0.3739
```

Peak list (8 most intense, 10 to 80 degrees two-theta, most intense first)
- 2θ = 18.27°, I 100.0, (0 3 1)
- 2θ = 27.00°, I 86.8, (1 2 -1)
- 2θ = 10.68°, I 86.4, (0 2 0)
- 2θ = 28.35°, I 68.4, (0 5 1)
- 2θ = 20.45°, I 44.3, (0 2 2)
- 2θ = 36.22°, I 37.8, (1 1 3)
- 2θ = 28.44°, I 37.1, (1 3 0)
- 2θ = 36.85°, I 35.7, (1 4 2)

# CdH8C4Br2N8
Simulated X-ray diffraction stick pattern, Cu Kα, 1.54184 Å. Input: the GGA-PBE geometry in OQMD.

Structural model:
```
data_CdH8C4Br2N8
_chemical_formula_sum 'Cd2 H16 C8 Br4 N16'
_symmetry_space_group_name_H-M 'P 1 21/c 1'
_symmetry_Int_Tables_number 14
_symmetry_space_group_name_Hall '-P 2ybc'
_cell_length_a 3.8331
_cell_length_b 8.3664
_cell_length_c 17.3318
_cell_angle_alpha 90.00
_cell_angle_beta 100.31
_cell_angle_gamma 90.00
loop_
_atom_site_label
_atom_site_type_symbol
_atom_site_fract_x
_atom_site_fract_y
_atom_site_fract_z
Cd1 Cd 0.0000 0.0000 0.0000
H1 H 0.1929 0.2084 0.6306
H2 H 0.2031 0.7288 0.2360
H3 H 0.3561 0.0405 0.5881
H4 H 0.3869 0.7045 0.1515
C1 C 0.0097 0.0061 0.1900
C2 C 0.1976 0.9998 0.6931
Br1 Br 0.4839 0.2383 0.9735
N1 N 0.0462 0.0705 0.7491
N2 N 0.0866 0.0634 0.1326
N3 N 0.2453 0.0881 0.6320
N4 N 0.3009 0.6530 0.1984
```

Peak list (8 most intense, 10 to 80 degrees two-theta, most intense first)
- 2θ = 10.38°, I 100.0, (0 0 2)
- 2θ = 11.78°, I 80.0, (0 1 1)
- 2θ = 31.95°, I 63.9, (1 2 0)
- 2θ = 18.87°, I 40.2, (0 1 3)
- 2θ = 20.84°, I 40.1, (0 0 4)
- 2θ = 32.29°, I 35.8, (1 2 -2)
- 2θ = 27.28°, I 27.2, (1 1 1)
- 2θ = 35.95°, I 24.2, (1 2 -4)

# Cd3H13C5Br8N
Simulated X-ray diffraction stick pattern, Cu Kα, 1.54184 Å. Input: the GGA-PBE geometry in OQMD.

Structural model:
```
data_Cd3H13C5Br8N
_chemical_formula_sum 'Cd6 H26 C10 Br16 N2'
_symmetry_space_group_name_H-M 'P -1'
_symmetry_Int_Tables_number 2
_symmetry_space_group_name_Hall '-P 1'
_cell_length_a 8.2385
_cell_length_b 11.1741
_cell_length_c 12.6653
_cell_angle_alpha 100.35
_cell_angle_beta 103.86
_cell_angle_gamma 105.30
loop_
_atom_site_label
_atom_site_type_symbol
_atom_site_fract_x
_atom_site_fract_y
_atom_site_fract_z
Cd1 Cd 0.0306 0.3424 0.4015
Cd2 Cd 0.1143 0.1373 0.1398
Cd3 Cd 0.4589 0.6545 0.6043
H1 H 0.1797 0.6171 0.1362
H2 H 0.2047 0.1754 0.7603
H3 H 0.2286 0.6924 0.0283
H4 H 0.2353 0.0614 0.6530
H5 H 0.2851 0.8283 0.2450
H6 H 0.2909 0.2284 0.6526
H7 H 0.3863 0.1086 0.9051
H8 H 0.3986 0.8960 0.1003
H9 H 0.4067 0.9927 0.7946
H10 H 0.4096 0.7664 0.3464
H11 H 0.4575 0.3252 0.9075
H12 H 0.4798 0.9351 0.3526
H13 H 0.4864 0.6178 0.2064
C1 C 0.2667 0.6326 0.0833
C2 C 0.2863 0.1607 0.7055
C3 C 0.4173 0.8377 0.2970
C4 C 0.4609 0.6784 0.1492
C5 C 0.4663 0.0905 0.8499
Br1 Br 0.0046 0.8846 0.0984
Br2 Br 0.1124 0.7458 0.8277
Br3 Br 0.1653 0.4707 0.6260
Br4 Br 0.2138 0.4636 0.9822
Br5 Br 0.2260 0.1687 0.3945
Br6 Br 0.2562 0.8102 0.5555
Br7 Br 0.3367 0.5168 0.3732
Br8 Br 0.4441 0.2527 0.1617
N1 N 0.4709 0.1837 0.7778
```

Peak list (8 most intense, 10 to 80 degrees two-theta, most intense first)
- 2θ = 26.09°, I 100.0, (0 1 3)
- 2θ = 28.78°, I 98.9, (2 -3 0)
- 2θ = 25.93°, I 80.1, (2 1 -1)
- 2θ = 44.27°, I 74.9, (-4 2 1)
- 2θ = 30.09°, I 68.8, (0 0 4)
- 2θ = 31.49°, I 49.8, (2 2 -2)
- 2θ = 24.50°, I 49.5, (0 2 -3)
- 2θ = 31.59°, I 47.3, (2 2 -1)

# CdH6C8Br4N4
Simulated X-ray diffraction stick pattern, Cu Kα, 1.54184 Å. Input: the GGA-PBE geometry in OQMD.

Structural model:
```
data_CdH6C8Br4N4
_chemical_formula_sum 'Cd2 H12 C16 Br8 N8'
_symmetry_space_group_name_H-M 'P 1 21/c 1'
_symmetry_Int_Tables_number 14
_symmetry_space_group_name_Hall '-P 2ybc'
_cell_length_a 3.8966
_cell_length_b 16.7580
_cell_length_c 10.4301
_cell_angle_alpha 90.00
_cell_angle_beta 91.96
_cell_angle_gamma 90.00
loop_
_atom_site_label
_atom_site_type_symbol
_atom_site_fract_x
_atom_site_fract_y
_atom_site_fract_z
Cd1 Cd 0.0000 0.0000 0.0000
H1 H 0.1673 0.1916 0.9507
H2 H 0.2047 0.5189 0.8052
H3 H 0.2094 0.2100 0.2666
C1 C 0.0955 0.1752 0.8522
C2 C 0.0992 0.6361 0.8874
C3 C 0.1142 0.2293 0.7512
C4 C 0.1138 0.5797 0.7890
Br1 Br 0.2539 0.6074 0.0566
Br2 Br 0.4856 0.5847 0.3688
N1 N 0.0146 0.6002 0.6694
N2 N 0.0176 0.2095 0.6306
```

Peak list (8 most intense, 10 to 80 degrees two-theta, most intense first)
- 2θ = 10.56°, I 100.0, (0 2 0)
- 2θ = 26.39°, I 93.2, (1 2 -1)
- 2θ = 18.02°, I 67.0, (0 3 1)
- 2θ = 35.63°, I 51.7, (1 1 3)
- 2θ = 27.94°, I 46.1, (1 3 0)
- 2θ = 37.28°, I 32.7, (0 5 3)
- 2θ = 20.06°, I 32.6, (0 2 2)
- 2θ = 33.30°, I 31.0, (1 3 2)